Simulated X-ray powder pattern of Y4Tl5Ga2 for a wavelength of 1.5418 Å, from a structure optimized by DFT (GGA-PBE).
Kinematic intensities with the Lorentz-polarization factor, no thermal factor.

Cell and atoms:
a = 8.1059 Å, b = 3.7254 Å, c = 9.5349 Å
α = 90.00°, β = 92.30°, γ = 90.00°
Sites, in units of the cell vectors:
Y: 0.2058 0.0000 0.3544
Y: 0.2298 0.0000 0.9065
Y: 0.7702 0.0000 0.0935
Y: 0.7942 0.0000 0.6456
Tl: 0.1388 0.5000 0.6321
Tl: 0.4505 0.5000 0.1604
Tl: 0.5000 0.5000 0.5000
Tl: 0.5495 0.5000 0.8396
Tl: 0.8612 0.5000 0.3679
Ga: 0.0810 0.5000 0.1214
Ga: 0.9190 0.5000 0.8786

Most intense lines, 15 to 90 degrees two-theta, by intensity:
- (1 1 2), 2θ = 32.69°, 2.740 Å, I 100
- (0 1 0), 2θ = 23.89°, 3.725 Å, I 44
- (1 1 -2), 2θ = 32.19°, 2.781 Å, I 41
- (1 0 3), 2θ = 30.65°, 2.917 Å, I 36
- (3 0 0), 2θ = 33.18°, 2.700 Å, I 31
- (3 0 2), 2θ = 39.00°, 2.310 Å, I 26
- (0 2 0), 2θ = 48.90°, 1.863 Å, I 25
- (4 1 -4), 2θ = 64.24°, 1.450 Å, I 23
- (2 0 -3), 2θ = 35.21°, 2.549 Å, I 23
- (2 1 1), 2θ = 34.28°, 2.616 Å, I 20